Starting from a GGA-PBE-relaxed structure, the X-ray diffraction stick pattern of K2CuAuCl6 was calculated for Cu Kα X-rays.
No peak broadening, texture or thermal motion is included.

Principal peaks in the range 15 to 90 degrees two-theta, low angle first:
(hkl)	2theta	Rel. int.
1 1 1	15.38	36
2 0 0	17.78	100
2 2 0	25.25	100
3 1 1	29.70	30
4 0 0	36.00	82
4 2 0	40.43	50
4 2 2	44.48	45
4 4 0	51.83	53

Cell and atoms:
```
data_K2CuAuCl6
_chemical_formula_sum 'K8 Cu4 Au4 Cl24'
_symmetry_space_group_name_H-M 'F m -3 m'
_symmetry_Int_Tables_number 225
_symmetry_space_group_name_Hall '-F 4 2 3'
_cell_length_a 9.9777
_cell_length_b 9.9777
_cell_length_c 9.9777
_cell_angle_alpha 90.00
_cell_angle_beta 90.00
_cell_angle_gamma 90.00
loop_
_atom_site_label
_atom_site_type_symbol
_atom_site_fract_x
_atom_site_fract_y
_atom_site_fract_z
_atom_site_occupancy
K1 K 0.2500 0.2500 0.2500 1
Cu1 Cu 0.0000 0.0000 0.0000 1
Au1 Au 0.0000 0.0000 0.5000 1
Cl1 Cl 0.0000 0.0000 0.2428 1
```